[1]
Simulated powder diffractogram of NdAl3IrRh for CuKα, from the GGA-PBE geometry in Alexandria.

```
data_NdAl3IrRh
_symmetry_space_group_name_H-M 'C m c m'
_symmetry_Int_Tables_number 63
_symmetry_space_group_name_Hall '-C 2c 2'
_cell_length_a 7.8123
_cell_length_b 10.8710
_cell_length_c 5.8471
_cell_angle_alpha 90.00
_cell_angle_beta 90.00
_cell_angle_gamma 90.00
loop_
_atom_site_label
_atom_site_type_symbol
_atom_site_fract_x
_atom_site_fract_y
_atom_site_fract_z
_atom_site_occupancy
Nd1 Nd 0.0000 0.2292 0.2500 1
Al1 Al 0.0000 0.2706 0.7500 1
Al2 Al 0.2481 0.0000 0.0000 1
Ir1 Ir 0.0000 0.0567 0.7500 1
Rh1 Rh 0.0000 0.4779 0.7500 1
```

Principal peaks in the range 2θ from 5° to 70°, sorted by position:
- 2θ = 22.77°, intensity 94, hkl 2 0 0
- 2θ = 30.58°, intensity 45, hkl 0 0 2
- 2θ = 31.21°, intensity 100, hkl 1 3 1
- 2θ = 38.46°, intensity 77, hkl 2 0 2
- 2θ = 45.61°, intensity 43, hkl 3 3 1
- 2θ = 51.53°, intensity 25, hkl 2 4 2

=====

[2]
Simulated powder diffractogram of AlNi12Ir3 for CuKα, from the GGA-PBE geometry in Alexandria.

```
data_AlNi12Ir3
_symmetry_space_group_name_H-M 'R -3 c'
_symmetry_Int_Tables_number 167
_symmetry_space_group_name_Hall '-R 3 2"c'
_cell_length_a 10.2044
_cell_length_b 10.2044
_cell_length_c 12.5052
_cell_angle_alpha 90.00
_cell_angle_beta 90.00
_cell_angle_gamma 120.00
loop_
_atom_site_label
_atom_site_type_symbol
_atom_site_fract_x
_atom_site_fract_y
_atom_site_fract_z
_atom_site_occupancy
Al1 Al 0.0000 0.0000 0.2500 1
Ni1 Ni 0.0000 0.2513 0.2500 1
Ni2 Ni 0.0000 0.4984 0.2500 1
Ni3 Ni 0.0826 0.1651 0.4183 1
Ir1 Ir 0.0000 0.2512 0.7500 1
```

Principal peaks in the range 2θ from 5° to 70°, sorted by position:
- 2θ = 17.38°, intensity 12, hkl 1 1 0
- 2θ = 27.64°, intensity 32, hkl 2 1 1
- 2θ = 43.44°, intensity 100, hkl 0 4 2
- 2θ = 45.31°, intensity 9, hkl 1 2 5
- 2θ = 50.59°, intensity 47, hkl 4 0 4
- 2θ = 58.62°, intensity 9, hkl 3 3 3

=====

[3]
Simulated powder diffractogram of AlNi6Ir for CuKα, from the GGA-PBE geometry in Alexandria.

```
data_AlNi6Ir
_symmetry_space_group_name_H-M 'C m m m'
_symmetry_Int_Tables_number 65
_symmetry_space_group_name_Hall '-C 2 2'
_cell_length_a 7.1752
_cell_length_b 10.1752
_cell_length_c 10.1812
_cell_angle_alpha 90.00
_cell_angle_beta 90.00
_cell_angle_gamma 90.00
loop_
_atom_site_label
_atom_site_type_symbol
_atom_site_fract_x
_atom_site_fract_y
_atom_site_fract_z
_atom_site_occupancy
Al1 Al 0.0000 0.0000 0.2471 1
Al2 Al 0.0000 0.2496 0.0000 1
Ni1 Ni 0.0000 0.0000 0.0000 1
Ni2 Ni 0.0000 0.0000 0.5000 1
Ni3 Ni 0.0000 0.2494 0.2488 1
Ni4 Ni 0.0000 0.5000 0.0000 1
Ni5 Ni 0.0000 0.5000 0.5000 1
Ni6 Ni 0.2495 0.1253 0.1235 1
Ni7 Ni 0.2487 0.1247 0.3726 1
Ir1 Ir 0.0000 0.2475 0.5000 1
Ir2 Ir 0.0000 0.5000 0.2486 1
```

Principal peaks in the range 2θ from 5° to 70°, sorted by position:
- 2θ = 8.69°, intensity 18, hkl 0 0 1
- 2θ = 15.11°, intensity 11, hkl 1 1 0
- 2θ = 23.14°, intensity 10, hkl 1 1 2
- 2θ = 43.61°, intensity 100, hkl 2 4 0
- 2θ = 50.74°, intensity 32, hkl 0 4 4
- 2θ = 50.91°, intensity 16, hkl 4 0 0

=====

[4]
Simulated powder diffractogram of AlNiIr for CuKα, from the GGA-PBE geometry in Alexandria.

```
data_AlNiIr
_symmetry_space_group_name_H-M 'F m m 2'
_symmetry_Int_Tables_number 42
_symmetry_space_group_name_Hall 'F 2 -2'
_cell_length_a 2.9077
_cell_length_b 4.5739
_cell_length_c 12.1088
_cell_angle_alpha 90.00
_cell_angle_beta 90.00
_cell_angle_gamma 90.00
loop_
_atom_site_label
_atom_site_type_symbol
_atom_site_fract_x
_atom_site_fract_y
_atom_site_fract_z
_atom_site_occupancy
Al1 Al 0.0000 0.0000 0.0000 1
Ni1 Ni 0.0000 0.0000 0.3464 1
Ir1 Ir 0.0000 0.0000 0.6665 1
```

Principal peaks in the range 2θ from 5° to 70°, sorted by position:
- 2θ = 14.63°, intensity 83, hkl 0 0 2
- 2θ = 29.51°, intensity 25, hkl 0 0 4
- 2θ = 37.39°, intensity 44, hkl 1 1 1
- 2θ = 39.40°, intensity 33, hkl 0 2 0
- 2θ = 43.14°, intensity 100, hkl 1 1 3
- 2θ = 44.91°, intensity 22, hkl 0 0 6